# Th2Si6Os
Theoretical PXRD pattern, CuKα. Input: a structure optimized by DFT (PBE).

Largest 12 diffraction maxima, in order of rising 2θ, 15° ≤ 2θ ≤ 90°:
- 16.88 deg, rel. 37, hkl 0 0 1
- 24.29 deg, rel. 93, hkl 1 0 1
- 30.28 deg, rel. 100, hkl 1 1 0
- 34.86 deg, rel. 69, hkl 1 1 1
- 38.53 deg, rel. 71, hkl 1 0 2
- 39.19 deg, rel. 73, hkl 0 2 1
- 49.77 deg, rel. 28, hkl 0 2 2
- 50.31 deg, rel. 32, hkl 2 1 1
- 53.79 deg, rel. 20, hkl 3 0 0
- 59.38 deg, rel. 35, hkl 2 1 2
- 62.98 deg, rel. 24, hkl 2 2 0
- 72.90 deg, rel. 22, hkl 1 2 3

Structure:
abc: 5.9035 5.9035 5.2531
angles: 90.00 90.00 120.00
Space group P-3m1 (No. 164)
Unique sites:
Th 0.3333 0.6667 0.3232
Si 0.1802 0.3603 0.8207
Os 0.0000 0.0000 0.5000

# K2NbCl5O
Theoretical PXRD pattern, CuKα. Input: a structure optimized by DFT (PBE).

Largest 12 diffraction maxima, in order of rising 2θ, 15° ≤ 2θ ≤ 90°:
- 15.33 deg, rel. 100, hkl 1 0 1
- 17.24 deg, rel. 20, hkl 0 0 2
- 25.00 deg, rel. 44, hkl 1 1 2
- 29.01 deg, rel. 15, hkl 1 0 3
- 29.89 deg, rel. 32, hkl 2 1 1
- 30.95 deg, rel. 51, hkl 2 0 2
- 34.89 deg, rel. 31, hkl 0 0 4
- 36.38 deg, rel. 64, hkl 2 2 0
- 44.65 deg, rel. 18, hkl 3 1 2
- 51.29 deg, rel. 37, hkl 2 2 4
- 52.39 deg, rel. 20, hkl 4 0 0
- 64.50 deg, rel. 17, hkl 4 0 4

Structure:
abc: 6.985 6.985 10.286
angles: 90.00 90.00 90.00
Space group I4mm (No. 107)
Unique sites:
K 0.000 0.500 0.000
Nb 0.000 0.000 0.233
Cl 0.000 0.000 0.491
Cl 0.245 0.245 0.256
O 0.000 0.000 0.062

# BaNdIn
Theoretical PXRD pattern, CuKα. Input: a structure optimized by DFT (PBE).

Largest 12 diffraction maxima, in order of rising 2θ, 15° ≤ 2θ ≤ 90°:
- 29.09 deg, rel. 100, hkl 0 1 1
- 31.74 deg, rel. 84, hkl 1 1 0
- 43.59 deg, rel. 33, hkl 2 0 1
- 49.84 deg, rel. 14, hkl 1 0 2
- 54.92 deg, rel. 33, hkl 1 2 1
- 56.54 deg, rel. 16, hkl 3 0 0
- 56.96 deg, rel. 13, hkl 1 1 2
- 60.30 deg, rel. 8, hkl 0 2 2
- 66.31 deg, rel. 10, hkl 2 2 0
- 69.77 deg, rel. 10, hkl 2 1 2
- 74.00 deg, rel. 14, hkl 3 1 1
- 74.73 deg, rel. 6, hkl 0 1 3

Structure:
abc: 5.6385 5.6385 3.9469
angles: 90.00 90.00 120.00
Space group P3m1 (No. 156)
Unique sites:
Ba 0.0000 0.0000 0.0000
Nd 0.6667 0.3333 0.5879
In 0.3333 0.6667 0.4123